# 1
Computed powder X-ray diffraction pattern of SrCu6As4 for λ = 1.5418 Å (Cu Kα), from a crystal structure in Alexandria, relaxed with PBE.
Peak positions follow from Bragg's law for the DFT cell and can differ from measured ones.

Atomic structure:
abc: 11.2470 11.2470 11.2470
angles: 158.60 158.60 30.44
Atoms (fractional coordinates):
Sr: 0.0000 0.0000 0.0000
Cu: 0.1229 0.6229 0.5000
Cu: 0.2500 0.7500 0.5000
Cu: 0.3771 0.8771 0.5000
Cu: 0.6229 0.1229 0.5000
Cu: 0.7500 0.2500 0.5000
Cu: 0.8771 0.3771 0.5000
As: 0.1870 0.1870 0.0000
As: 0.4386 0.4386 0.0000
As: 0.5614 0.5614 0.0000
As: 0.8130 0.8130 0.0000

The 10 most intense peaks (2θ from 5° to 70°), low angle first:
24.6 deg, rel. 19; 29.7 deg, rel. 64; 31.4 deg, rel. 34; 34.6 deg, rel. 28; 39.4 deg, rel. 24; 43.3 deg, rel. 100; 45.4 deg, rel. 97; 53.4 deg, rel. 24; 63.0 deg, rel. 34; 69.3 deg, rel. 23

---

# 2
Computed powder X-ray diffraction pattern of TbCu4As2 for λ = 1.5418 Å (Cu Kα), from a crystal structure in Alexandria, relaxed with PBE.
Peak positions follow from Bragg's law for the DFT cell and can differ from measured ones.

Atomic structure:
abc: 7.4531 7.4531 3.9480
angles: 90.00 90.00 90.00
Atoms (fractional coordinates):
Tb: 0.0000 0.0000 0.0000
Tb: 0.5000 0.5000 0.5000
Cu: 0.0871 0.3444 0.5000
Cu: 0.1556 0.5871 0.0000
Cu: 0.3444 0.0871 0.5000
Cu: 0.4129 0.8444 0.0000
Cu: 0.5871 0.1556 0.0000
Cu: 0.6556 0.9129 0.5000
Cu: 0.8444 0.4129 0.0000
Cu: 0.9129 0.6556 0.5000
As: 0.2123 0.7877 0.5000
As: 0.2877 0.2877 0.0000
As: 0.7123 0.7123 0.0000
As: 0.7877 0.2123 0.5000

The 10 most intense peaks (2θ from 5° to 70°), low angle first:
34.0 deg, rel. 20; 35.2 deg, rel. 100; 38.2 deg, rel. 36; 41.2 deg, rel. 30; 44.8 deg, rel. 41; 46.0 deg, rel. 28; 50.5 deg, rel. 17; 55.9 deg, rel. 11; 61.3 deg, rel. 17; 67.1 deg, rel. 19